Record 1
For Pm5Dy3Ho3, a cell relaxed with PBE gives the calculated PXRD pattern in this record (copper Kα).
No peak broadening, texture or thermal motion is included.

Structural model:
```
Pm5Dy3Ho3
1.0
11.180 0.000 0.000
-5.590 9.682 0.000
0.000 0.000 3.465
Pm Dy Ho
5 3 3
Cartesian
-0.903 1.563 0.000 Pm
1.805 0.000 0.000 Pm
0.000 6.455 0.000 Pm
5.590 3.227 0.000 Pm
4.687 8.119 0.000 Pm
-2.268 3.929 1.733 Dy
4.537 0.000 1.733 Dy
3.321 5.753 1.733 Dy
-3.678 6.370 0.000 Ho
1.912 3.312 0.000 Ho
7.356 0.000 0.000 Ho
```

Peak list (10 most intense, 10° ≤ 2θ ≤ 90°, low angle first)
- 24.32°, d = 3.659 Å, rel. 35.1
- 27.64°, d = 3.227 Å, rel. 90.3
- 30.35°, d = 2.945 Å, rel. 100.0
- 32.02°, d = 2.795 Å, rel. 33.8
- 33.37°, d = 2.685 Å, rel. 96.1
- 35.68°, d = 2.516 Å, rel. 76.1
- 41.51°, d = 2.175 Å, rel. 82.5
- 48.69°, d = 1.870 Å, rel. 33.9
- 63.61°, d = 1.463 Å, rel. 41.8
- 63.95°, d = 1.456 Å, rel. 29.5

Record 2
For Nd2AgHg8, a cell relaxed with PBE gives the calculated PXRD pattern in this record (copper Kα).
No peak broadening, texture or thermal motion is included.

Structural model:
```
Nd2AgHg8
1.0
4.742 0.000 0.000
0.000 4.742 0.000
0.000 0.000 12.609
Nd Ag Hg
2 1 8
Cartesian
0.000 0.000 2.441 Nd
0.000 0.000 10.168 Nd
0.000 0.000 6.305 Ag
0.000 2.371 0.000 Hg
0.000 2.371 4.616 Hg
0.000 2.371 7.993 Hg
2.371 0.000 0.000 Hg
2.371 0.000 4.616 Hg
2.371 0.000 7.993 Hg
2.371 2.371 2.209 Hg
2.371 2.371 10.400 Hg
```

Peak list (10 most intense, 10° ≤ 2θ ≤ 90°, low angle first)
- 30.19°, d = 2.960 Å, rel. 17.5
- 34.21°, d = 2.621 Å, rel. 100.0
- 35.60°, d = 2.522 Å, rel. 10.3
- 37.95°, d = 2.371 Å, rel. 45.1
- 43.04°, d = 2.102 Å, rel. 6.8
- 53.01°, d = 1.727 Å, rel. 13.5
- 54.76°, d = 1.676 Å, rel. 15.8
- 58.71°, d = 1.573 Å, rel. 10.9
- 65.43°, d = 1.426 Å, rel. 12.2
- 66.17°, d = 1.412 Å, rel. 29.8

Record 3
For TaNb2Al, a cell relaxed with PBE gives the calculated PXRD pattern in this record (copper Kα).
No peak broadening, texture or thermal motion is included.

Structural model:
```
TaNb2Al
1.0
3.402 0.000 0.000
0.000 3.402 0.000
0.000 0.000 6.097
Ta Nb Al
1 2 1
Cartesian
0.000 0.000 0.000 Ta
1.701 1.701 1.559 Nb
1.701 1.701 4.538 Nb
0.000 0.000 3.048 Al
```

Peak list (10 most intense, 10° ≤ 2θ ≤ 90°, low angle first)
- 14.53°, d = 6.097 Å, rel. 37.6
- 30.08°, d = 2.971 Å, rel. 33.4
- 37.39°, d = 2.405 Å, rel. 59.3
- 39.70°, d = 2.270 Å, rel. 100.0
- 40.31°, d = 2.237 Å, rel. 12.9
- 53.91°, d = 1.701 Å, rel. 20.5
- 62.97°, d = 1.476 Å, rel. 8.4
- 68.99°, d = 1.361 Å, rel. 38.6
- 73.57°, d = 1.287 Å, rel. 15.9
- 85.56°, d = 1.135 Å, rel. 10.8

Record 4
For Be2AlRu5W2, a cell relaxed with PBE gives the calculated PXRD pattern in this record (copper Kα).
No peak broadening, texture or thermal motion is included.

Structural model:
```
Be2AlRu5W2
1.0
9.277 0.000 0.000
0.000 9.277 0.000
0.000 0.000 3.010
Be Al Ru W
4 2 10 4
Cartesian
1.163 3.476 0.000 Be
3.476 8.114 0.000 Be
5.801 1.163 0.000 Be
8.114 5.801 0.000 Be
0.000 0.000 0.000 Al
4.638 4.638 0.000 Al
0.000 4.638 1.505 Ru
0.634 1.933 1.505 Ru
1.933 8.643 1.505 Ru
2.706 4.004 1.505 Ru
4.004 6.571 1.505 Ru
4.638 0.000 1.505 Ru
5.272 2.706 1.505 Ru
6.571 5.272 1.505 Ru
7.344 0.634 1.505 Ru
8.643 7.344 1.505 Ru
1.621 6.259 0.000 W
3.017 1.621 0.000 W
6.259 7.655 0.000 W
7.655 3.017 0.000 W
```

Peak list (10 most intense, 10° ≤ 2θ ≤ 90°, low angle first)
- 21.42°, d = 4.149 Å, rel. 29.4
- 35.56°, d = 2.525 Å, rel. 24.9
- 36.90°, d = 2.436 Å, rel. 98.3
- 40.08°, d = 2.250 Å, rel. 100.0
- 40.69°, d = 2.217 Å, rel. 22.7
- 41.29°, d = 2.187 Å, rel. 36.9
- 43.06°, d = 2.101 Å, rel. 84.7
- 46.43°, d = 1.956 Å, rel. 26.8
- 72.39°, d = 1.305 Å, rel. 20.9
- 76.10°, d = 1.251 Å, rel. 30.2

Record 5
For Na2InSe2, a cell relaxed with PBE gives the calculated PXRD pattern in this record (copper Kα).
No peak broadening, texture or thermal motion is included.

Structural model:
```
Na2InSe2
1.0
2.555 -7.946 0.000
2.555 7.946 0.000
0.000 0.000 6.803
Na In Se
4 2 4
Cartesian
2.555 7.660 3.402 Na
2.555 4.761 5.439 Na
2.555 -4.761 2.038 Na
2.555 -7.660 0.000 Na
2.555 1.619 4.545 In
2.555 -1.619 1.144 In
2.555 5.421 1.545 Se
2.555 1.084 1.782 Se
2.555 -1.084 5.183 Se
2.555 -5.421 4.947 Se
```

Peak list (10 most intense, 10° ≤ 2θ ≤ 90°, low angle first)
- 17.16°, d = 5.168 Å, rel. 100.0
- 18.24°, d = 4.865 Å, rel. 51.7
- 22.39°, d = 3.970 Å, rel. 39.7
- 26.20°, d = 3.402 Å, rel. 70.9
- 32.11°, d = 2.788 Å, rel. 40.9
- 33.19°, d = 2.699 Å, rel. 73.1
- 34.72°, d = 2.584 Å, rel. 33.4
- 35.12°, d = 2.555 Å, rel. 64.2
- 35.96°, d = 2.497 Å, rel. 32.3
- 44.34°, d = 2.043 Å, rel. 33.5

Record 6
For Pr4B4O11F2, a cell relaxed with PBE gives the calculated PXRD pattern in this record (copper Kα).
No peak broadening, texture or thermal motion is included.

Structural model:
```
Pr4B4O11F2
1.0
7.044 -2.387 0.000
7.044 2.387 0.000
-0.202 0.000 14.142
Pr B O F
8 8 22 4
Cartesian
0.754 0.121 5.247 Pr
0.653 -0.121 12.319 Pr
3.087 0.100 1.830 Pr
2.986 -0.100 8.901 Pr
10.900 0.100 5.241 Pr
10.799 -0.100 12.313 Pr
13.233 0.121 1.824 Pr
13.132 -0.121 8.895 Pr
5.618 0.240 6.675 B
5.588 0.092 11.099 B
5.689 -0.092 4.028 B
5.517 -0.240 13.746 B
8.369 0.240 0.397 B
8.197 0.092 10.114 B
8.298 -0.092 3.043 B
8.268 -0.240 7.468 B
5.816 1.600 6.535 O
5.572 1.317 3.866 O
4.502 0.872 10.502 O
8.171 1.600 0.537 O
5.626 0.584 12.614 O
8.415 1.317 3.205 O
5.443 0.263 0.852 O
6.893 0.680 10.607 O
5.343 -0.263 7.923 O
8.160 0.584 8.599 O
9.283 0.872 10.711 O
4.603 -0.872 3.431 O
5.726 -0.584 5.543 O
8.543 0.263 6.219 O
6.993 -0.680 3.536 O
8.443 -0.263 13.291 O
5.471 -1.317 10.937 O
8.260 -0.584 1.528 O
5.715 -1.600 13.606 O
9.384 -0.872 3.640 O
8.314 -1.317 10.276 O
8.070 -1.600 7.608 O
3.146 0.097 5.979 F
3.045 -0.097 13.050 F
10.841 0.097 1.093 F
10.740 -0.097 8.164 F
```

Peak list (10 most intense, 10° ≤ 2θ ≤ 90°, low angle first)
- 19.64°, d = 4.521 Å, rel. 69.8
- 25.19°, d = 3.536 Å, rel. 77.6
- 28.14°, d = 3.171 Å, rel. 44.4
- 28.47°, d = 3.135 Å, rel. 39.8
- 29.41°, d = 3.037 Å, rel. 97.0
- 29.64°, d = 3.014 Å, rel. 100.0
- 32.07°, d = 2.791 Å, rel. 46.1
- 37.69°, d = 2.387 Å, rel. 37.5
- 45.88°, d = 1.978 Å, rel. 55.4
- 46.92°, d = 1.936 Å, rel. 33.8

Record 7
For CsCdGaHPt, a cell relaxed with PBE gives the calculated PXRD pattern in this record (copper Kα).
No peak broadening, texture or thermal motion is included.

Structural model:
```
CsCdGaHPt
1.0
3.620 -2.176 0.000
3.620 2.176 0.000
-2.604 0.000 8.171
Cs Cd Ga H Pt
1 1 1 1 1
Cartesian
0.000 0.000 0.000 Cs
-0.095 0.000 4.841 Cd
4.776 0.000 2.938 Ga
-0.130 0.000 6.693 H
2.326 0.000 3.315 Pt
```

Peak list (10 most intense, 10° ≤ 2θ ≤ 90°, low angle first)
- 10.83°, d = 8.171 Å, rel. 100.0
- 21.75°, d = 4.086 Å, rel. 41.4
- 28.16°, d = 3.169 Å, rel. 88.0
- 28.34°, d = 3.149 Å, rel. 43.5
- 29.93°, d = 2.986 Å, rel. 27.8
- 35.37°, d = 2.538 Å, rel. 23.0
- 41.50°, d = 2.176 Å, rel. 26.8
- 42.85°, d = 2.110 Å, rel. 48.9
- 44.49°, d = 2.036 Å, rel. 24.5
- 47.29°, d = 1.922 Å, rel. 25.1

Record 8
For Tc3GePt, a cell relaxed with PBE gives the calculated PXRD pattern in this record (copper Kα).
No peak broadening, texture or thermal motion is included.

Structural model:
```
Tc3GePt
1.0
4.476 0.000 0.000
0.000 4.476 0.000
0.000 0.000 4.476
Tc Ge Pt
3 1 1
Cartesian
0.000 0.000 2.238 Tc
0.000 2.238 0.000 Tc
2.238 0.000 0.000 Tc
0.000 0.000 0.000 Ge
2.238 2.238 2.238 Pt
```

Peak list (10 most intense, 10° ≤ 2θ ≤ 90°, low angle first)
- 28.20°, d = 3.165 Å, rel. 40.2
- 34.72°, d = 2.584 Å, rel. 100.0
- 40.30°, d = 2.238 Å, rel. 91.8
- 49.91°, d = 1.827 Å, rel. 17.4
- 58.31°, d = 1.582 Å, rel. 61.5
- 66.01°, d = 1.415 Å, rel. 7.6
- 69.68°, d = 1.349 Å, rel. 38.8
- 73.27°, d = 1.292 Å, rel. 20.6
- 80.26°, d = 1.196 Å, rel. 9.0
- 87.10°, d = 1.119 Å, rel. 10.0

Record 9
For Ca2Sb2Pt, a cell relaxed with PBE gives the calculated PXRD pattern in this record (copper Kα).
No peak broadening, texture or thermal motion is included.

Structural model:
```
Ca2Sb2Pt
1.0
4.584 0.000 0.000
2.289 5.582 0.000
2.277 -0.057 10.205
Ca Sb Pt
4 4 2
Cartesian
1.144 1.486 1.231 Ca
3.429 0.886 6.819 Ca
5.721 4.639 3.386 Ca
8.006 4.040 8.974 Ca
3.425 4.103 5.644 Sb
3.429 3.859 1.286 Sb
5.720 1.667 8.920 Sb
5.725 1.423 4.561 Sb
3.434 2.260 3.473 Pt
5.716 3.265 6.733 Pt
```

Peak list (10 most intense, 10° ≤ 2θ ≤ 90°, low angle first)
- 15.88°, d = 5.582 Å, rel. 71.0
- 21.40°, d = 4.152 Å, rel. 65.8
- 23.69°, d = 3.756 Å, rel. 50.6
- 30.38°, d = 2.943 Å, rel. 61.5
- 33.71°, d = 2.659 Å, rel. 34.4
- 36.79°, d = 2.443 Å, rel. 36.7
- 38.08°, d = 2.363 Å, rel. 100.0
- 39.31°, d = 2.292 Å, rel. 54.3
- 45.33°, d = 2.001 Å, rel. 50.7
- 61.74°, d = 1.503 Å, rel. 27.7

Record 10
For Mn2Co3H8, a cell relaxed with PBE gives the calculated PXRD pattern in this record (copper Kα).
No peak broadening, texture or thermal motion is included.

Structural model:
```
Mn2Co3H8
1.0
3.653 -4.524 0.000
3.653 4.524 0.000
0.000 0.000 2.640
Mn Co H
2 3 8
Cartesian
3.653 2.491 0.000 Mn
3.653 -2.491 0.000 Mn
1.409 0.000 1.320 Co
3.653 0.000 0.000 Co
5.897 0.000 1.320 Co
3.653 3.620 1.320 H
1.703 1.039 0.000 H
1.703 -1.039 0.000 H
3.653 1.178 1.320 H
3.653 -1.178 1.320 H
5.604 1.039 0.000 H
5.604 -1.039 0.000 H
3.653 -3.620 1.320 H
```

Peak list (10 most intense, 10° ≤ 2θ ≤ 90°, low angle first)
- 19.62°, d = 4.524 Å, rel. 37.8
- 31.48°, d = 2.842 Å, rel. 66.8
- 37.56°, d = 2.394 Å, rel. 33.0
- 38.27°, d = 2.352 Å, rel. 48.4
- 39.52°, d = 2.280 Å, rel. 52.0
- 39.85°, d = 2.262 Å, rel. 63.7
- 42.23°, d = 2.140 Å, rel. 100.0
- 47.43°, d = 1.917 Å, rel. 52.6
- 48.01°, d = 1.895 Å, rel. 49.4
- 59.46°, d = 1.554 Å, rel. 63.5

Record 11
For LiTlRh, a cell relaxed with PBE gives the calculated PXRD pattern in this record (copper Kα).
No peak broadening, texture or thermal motion is included.

Structural model:
```
LiTlRh
1.0
4.547 0.000 0.000
0.000 4.547 0.000
0.000 0.000 5.912
Li Tl Rh
2 2 2
Cartesian
0.000 2.273 0.000 Li
2.273 0.000 2.956 Li
0.000 2.273 2.956 Tl
2.273 0.000 0.000 Tl
0.000 0.000 1.478 Rh
0.000 0.000 4.434 Rh
```

Peak list (10 most intense, 10° ≤ 2θ ≤ 90°, low angle first)
- 19.52°, d = 4.547 Å, rel. 27.4
- 24.70°, d = 3.604 Å, rel. 100.0
- 36.25°, d = 2.478 Å, rel. 11.2
- 39.65°, d = 2.273 Å, rel. 37.5
- 41.50°, d = 2.176 Å, rel. 66.1
- 47.27°, d = 1.923 Å, rel. 36.1
- 50.47°, d = 1.808 Å, rel. 14.9
- 57.32°, d = 1.608 Å, rel. 12.9
- 66.02°, d = 1.415 Å, rel. 13.5
- 73.20°, d = 1.293 Å, rel. 24.8

Record 12
For Nd5TmBi6, a cell relaxed with PBE gives the calculated PXRD pattern in this record (copper Kα).
No peak broadening, texture or thermal motion is included.

Structural model:
```
Nd5TmBi6
1.0
3.968 -6.875 0.000
3.968 6.875 0.000
-2.653 0.000 7.481
Nd Tm Bi
5 1 6
Cartesian
0.000 0.000 0.000 Nd
2.641 4.596 3.741 Nd
3.968 2.329 0.000 Nd
3.968 -2.329 0.000 Nd
2.641 -4.596 3.741 Nd
2.641 0.000 3.741 Tm
1.348 2.249 1.907 Bi
0.049 0.000 5.594 Bi
1.348 -2.249 1.907 Bi
3.934 2.249 5.575 Bi
5.233 0.000 1.887 Bi
3.934 -2.249 5.575 Bi
```

Peak list (10 most intense, 10° ≤ 2θ ≤ 90°, low angle first)
- 23.78°, d = 3.741 Å, rel. 4.7
- 27.53°, d = 3.240 Å, rel. 100.0
- 39.33°, d = 2.291 Å, rel. 78.5
- 46.48°, d = 1.954 Å, rel. 2.7
- 48.68°, d = 1.871 Å, rel. 28.6
- 56.83°, d = 1.620 Å, rel. 13.5
- 64.29°, d = 1.449 Å, rel. 37.4
- 71.30°, d = 1.323 Å, rel. 27.7
- 84.58°, d = 1.146 Å, rel. 7.5
- 84.66°, d = 1.145 Å, rel. 1.5